Structure and computed X-ray diffraction stick pattern of Pr2NdMg3Al2Cd (a structure optimized by DFT (GGA-PBE); λ = 1.5418 Å (Cu Kα)).
Intensities are scaled so that the largest is 1000.

Atomic structure:
a = 4.689 Å, b = 13.172 Å, c = 7.621 Å
α = 90.00°, β = 90.00°, γ = 90.00°
Space group Amm2 (No. 38)
One atom of each set of equivalent atoms:
Pr 0.000 0.213 0.000 x4
Nd 0.000 0.000 0.361 x2
Mg 0.500 0.000 0.032 x2
Mg 0.500 0.122 0.664 x4
Al 0.500 0.166 0.287 x4
Cd 0.000 0.000 0.785 x2

Top 12 peaks for 2θ from 10° to 90°, most intense first:
two_theta	I (rel.)
33.22	1000
30.24	519
27.05	517
18.93	483
53.81	275
47.59	221
38.39	221
36.04	208
41.03	207
64.65	204
23.38	134
66.17	132

---

Structure and computed X-ray diffraction stick pattern of AlCdMo4N2 (a structure optimized by DFT (GGA-PBE); λ = 1.5418 Å (Cu Kα)).
Intensities are scaled so that the largest is 1000.

Atomic structure:
a = 2.8777 Å, b = 2.8777 Å, c = 14.9860 Å
α = 90.00°, β = 90.00°, γ = 120.00°
Space group P-6m2 (No. 187)
One atom of each set of equivalent atoms:
Al 0.0000 0.0000 0.0000 x1
Cd 0.6667 0.3333 0.5000 x1
Mo 0.0000 0.0000 0.3335 x2
Mo 0.6667 0.3333 0.1492 x2
N 0.3333 0.6667 0.2419 x2

Top 12 peaks for 2θ from 10° to 90°, most intense first:
two_theta	I (rel.)
40.45	1000
35.99	461
76.40	185
64.79	176
51.82	169
67.67	150
79.23	135
38.05	72
61.97	71
29.81	62
17.76	43
87.48	37

---

Structure and computed X-ray diffraction stick pattern of Pr2Al3CdNi2 (a structure optimized by DFT (GGA-PBE); λ = 1.5418 Å (Cu Kα)).
Intensities are scaled so that the largest is 1000.

Atomic structure:
a = 10.380 Å, b = 4.193 Å, c = 7.241 Å
α = 90.00°, β = 90.24°, γ = 90.00°
Space group Cm (No. 8)
One atom of each set of equivalent atoms:
Pr 0.000 0.000 0.000 x2
Pr 0.119 0.000 0.512 x2
Al 0.217 0.500 0.821 x2
Al 0.221 0.500 0.203 x2
Al 0.395 0.000 0.707 x2
Cd 0.411 0.000 0.313 x2
Ni 0.271 0.000 0.000 x2
Ni 0.333 0.500 0.529 x2

Top 12 peaks for 2θ from 10° to 90°, most intense first:
two_theta	I (rel.)
33.84	1000
35.85	891
36.81	493
22.87	331
43.15	320
24.59	275
57.98	257
33.58	206
21.08	141
26.01	140
51.11	138
66.93	130

---

Structure and computed X-ray diffraction stick pattern of Pr2AlCd3Ni2 (a structure optimized by DFT (GGA-PBE); λ = 1.5418 Å (Cu Kα)).
Intensities are scaled so that the largest is 1000.

Atomic structure:
a = 9.950 Å, b = 4.264 Å, c = 7.886 Å
α = 90.00°, β = 90.89°, γ = 90.00°
Space group Cm (No. 8)
One atom of each set of equivalent atoms:
Pr 0.000 0.000 0.000 x2
Pr 0.124 0.000 0.510 x2
Al 0.218 0.500 0.806 x2
Cd 0.208 0.500 0.197 x2
Cd 0.409 0.000 0.301 x2
Cd 0.421 0.000 0.696 x2
Ni 0.273 0.000 0.976 x2
Ni 0.328 0.500 0.516 x2

Top 12 peaks for 2θ from 10° to 90°, most intense first:
two_theta	I (rel.)
32.31	1000
36.03	756
32.10	551
42.40	508
34.26	474
38.49	282
38.11	277
36.29	270
41.21	198
58.30	194
69.75	188
39.01	181

---

Structure and computed X-ray diffraction stick pattern of Al2Cd2O5 (a structure optimized by DFT (GGA-PBE); λ = 1.5418 Å (Cu Kα)).
Intensities are scaled so that the largest is 1000.

Atomic structure:
a = 3.651 Å, b = 3.651 Å, c = 7.381 Å
α = 90.00°, β = 90.00°, γ = 90.00°
Space group P4/mmm (No. 123)
One atom of each set of equivalent atoms:
Al 0.000 0.000 0.243 x2
Cd 0.500 0.500 0.000 x1
Cd 0.500 0.500 0.500 x1
O 0.000 0.000 0.000 x1
O 0.000 0.500 0.287 x4

Top 12 peaks for 2θ from 10° to 90°, most intense first:
two_theta	I (rel.)
34.56	1000
42.74	470
24.38	423
34.74	377
62.16	351
49.95	305
61.80	171
72.88	156
24.12	146
49.39	137
88.78	94
55.82	88

---

Structure and computed X-ray diffraction stick pattern of Zr3AlCd2PdPt2 (a structure optimized by DFT (GGA-PBE); λ = 1.5418 Å (Cu Kα)).
Intensities are scaled so that the largest is 1000.

Atomic structure:
a = 3.507 Å, b = 13.080 Å, c = 7.452 Å
α = 90.00°, β = 90.00°, γ = 90.00°
Space group Amm2 (No. 38)
One atom of each set of equivalent atoms:
Zr 0.000 0.000 0.000 x2
Zr 0.000 0.200 0.389 x4
Al 0.500 0.000 0.325 x2
Cd 0.500 0.131 0.726 x4
Pd 0.000 0.000 0.560 x2
Pt 0.500 0.161 0.103 x4

Top 12 peaks for 2θ from 10° to 90°, most intense first:
two_theta	I (rel.)
37.61	1000
35.14	967
41.86	870
34.97	857
37.82	839
28.93	444
36.56	427
52.16	422
41.42	404
23.64	396
69.00	389
45.27	348

---

Structure and computed X-ray diffraction stick pattern of Al2CdSe3S (a structure optimized by DFT (GGA-PBE); λ = 1.5418 Å (Cu Kα)).
Intensities are scaled so that the largest is 1000.

Atomic structure:
a = 5.781 Å, b = 5.811 Å, c = 6.686 Å
α = 115.65°, β = 114.67°, γ = 90.67°
Space group P1 (No. 1)
One atom of each set of equivalent atoms:
Al 0.000 0.000 0.000 x1
Al 0.241 0.756 0.510 x1
Cd 0.491 0.492 0.003 x1
Se 0.371 0.914 0.283 x1
Se 0.627 0.626 0.724 x1
Se 0.897 0.362 0.282 x1
S 0.101 0.086 0.739 x1

Top 12 peaks for 2θ from 10° to 90°, most intense first:
two_theta	I (rel.)
27.51	1000
27.21	564
27.65	516
46.11	431
17.39	340
52.94	318
43.93	253
21.82	247
44.48	247
46.35	211
46.67	201
35.52	166

---

Structure and computed X-ray diffraction stick pattern of Al2CdSeS3 (a structure optimized by DFT (GGA-PBE); λ = 1.5418 Å (Cu Kα)).
Intensities are scaled so that the largest is 1000.

Atomic structure:
a = 5.643 Å, b = 5.688 Å, c = 6.484 Å
α = 114.87°, β = 115.19°, γ = 90.77°
Space group P1 (No. 1)
One atom of each set of equivalent atoms:
Al 0.000 0.000 0.000 x1
Al 0.256 0.767 0.510 x1
Cd 0.492 0.510 0.002 x1
Se 0.903 0.372 0.287 x1
S 0.102 0.093 0.734 x1
S 0.355 0.906 0.269 x1
S 0.629 0.655 0.735 x1

Top 12 peaks for 2θ from 10° to 90°, most intense first:
two_theta	I (rel.)
28.13	1000
27.95	473
17.93	468
28.49	400
47.85	372
22.35	368
36.31	268
17.68	235
17.13	231
44.96	227
45.60	225
30.47	219